Record 1
Simulated PXRD pattern
Compound: Mn4Zn10Ni
Radiation: Cu Kα X-rays
Structure: a cell relaxed with PBE
No peak broadening, texture or thermal motion is included.

Most intense lines, 2θ from 10° to 90°, in order of falling intensity:
| two_theta | I/Imax |
| --- | --- |
| 41.50 | 100 |
| 42.38 | 92 |
| 44.98 | 42 |
| 36.73 | 41 |
| 54.42 | 39 |
| 40.35 | 28 |
| 30.21 | 23 |
| 32.53 | 23 |

Crystal structure
Cell lengths 6.8293, 6.8293, 6.8293 Å; angles 100.82, 100.82, 128.65 degrees
Atoms (fractional coordinates):
Mn 0.2336 0.2336 0.4671
Mn 0.2336 0.7664 0.0000
Mn 0.7664 0.2336 0.0000
Mn 0.7664 0.7664 0.5329
Zn 0.0703 0.2819 0.7884
Zn 0.2500 0.7500 0.5000
Zn 0.2819 0.0703 0.7884
Zn 0.2819 0.4935 0.2116
Zn 0.4935 0.2819 0.2116
Zn 0.5065 0.7181 0.7884
Zn 0.7181 0.5065 0.7884
Zn 0.7181 0.9297 0.2116
Zn 0.7500 0.2500 0.5000
Zn 0.9297 0.7181 0.2116
Ni 0.0000 0.0000 0.0000

Record 2
Simulated PXRD pattern
Compound: Mn2Zn2Ni5
Radiation: Cu Kα X-rays
Structure: a cell relaxed with PBE
No peak broadening, texture or thermal motion is included.

Most intense lines, 2θ from 10° to 90°, in order of falling intensity:
| two_theta | I/Imax |
| --- | --- |
| 43.02 | 100 |
| 48.53 | 69 |
| 43.31 | 49 |
| 43.62 | 47 |
| 53.89 | 24 |
| 75.21 | 16 |
| 75.65 | 16 |
| 86.41 | 11 |

Crystal structure
Cell lengths 6.6115, 6.6115, 7.2798 Å; angles 120.51, 120.51, 23.33 degrees
Atoms (fractional coordinates):
Mn 0.0612 0.0612 0.3437
Mn 0.9388 0.9388 0.6563
Zn 0.1647 0.1647 0.0089
Zn 0.8353 0.8353 0.9911
Ni 0.2754 0.2754 0.6623
Ni 0.3908 0.3908 0.3284
Ni 0.5000 0.5000 0.0000
Ni 0.6092 0.6092 0.6716
Ni 0.7246 0.7246 0.3377

Record 3
Simulated PXRD pattern
Compound: MnZn4Ni15
Radiation: Cu Kα X-rays
Structure: a cell relaxed with PBE
No peak broadening, texture or thermal motion is included.

Most intense lines, 2θ from 10° to 90°, in order of falling intensity:
| two_theta | I/Imax |
| --- | --- |
| 43.88 | 100 |
| 51.06 | 31 |
| 75.25 | 18 |
| 51.24 | 15 |
| 75.10 | 9 |

Crystal structure
Cell lengths 3.5777, 3.5777, 17.8302 Å; angles 90.00, 90.00, 90.00 degrees
Atoms (fractional coordinates):
Mn 0.0000 0.0000 0.0000
Zn 0.0000 0.0000 0.2000
Zn 0.0000 0.0000 0.3998
Zn 0.0000 0.0000 0.6002
Zn 0.0000 0.0000 0.8000
Ni 0.0000 0.5000 0.0990
Ni 0.0000 0.5000 0.2996
Ni 0.0000 0.5000 0.5000
Ni 0.0000 0.5000 0.7004
Ni 0.0000 0.5000 0.9010
Ni 0.5000 0.0000 0.0990
Ni 0.5000 0.0000 0.2996
Ni 0.5000 0.0000 0.5000
Ni 0.5000 0.0000 0.7004
Ni 0.5000 0.0000 0.9010
Ni 0.5000 0.5000 0.0000
Ni 0.5000 0.5000 0.1989
Ni 0.5000 0.5000 0.3999
Ni 0.5000 0.5000 0.6001
Ni 0.5000 0.5000 0.8011

Record 4
Simulated PXRD pattern
Compound: Zr4MnNi
Radiation: Cu Kα X-rays
Structure: a cell relaxed with PBE
No peak broadening, texture or thermal motion is included.

Most intense lines, 2θ from 10° to 90°, in order of falling intensity:
| two_theta | I/Imax |
| --- | --- |
| 35.08 | 100 |
| 44.03 | 32 |
| 43.69 | 31 |
| 38.80 | 23 |
| 60.70 | 19 |
| 70.75 | 18 |
| 61.23 | 18 |
| 33.33 | 11 |

Crystal structure
Cell lengths 5.3271, 5.3271, 5.3271 Å; angles 104.75, 104.75, 119.39 degrees
Atoms (fractional coordinates):
Zr 0.0848 0.5848 0.1697
Zr 0.4152 0.9152 0.8303
Zr 0.5848 0.4152 0.5000
Zr 0.9152 0.0848 0.5000
Mn 0.0000 0.0000 0.0000
Ni 0.5000 0.5000 0.0000

Record 5
Simulated PXRD pattern
Compound: NpMn6
Radiation: Cu Kα X-rays
Structure: a cell relaxed with PBE
No peak broadening, texture or thermal motion is included.

Most intense lines, 2θ from 10° to 90°, in order of falling intensity:
| two_theta | I/Imax |
| --- | --- |
| 36.30 | 100 |
| 56.83 | 54 |
| 29.47 | 43 |
| 20.72 | 22 |
| 88.31 | 16 |
| 69.33 | 15 |
| 61.16 | 14 |
| 73.25 | 13 |

Crystal structure
Cell lengths 5.2492, 5.2492, 5.2492 Å; angles 109.47, 109.47, 109.47 degrees
Atoms (fractional coordinates):
Np 0.0000 0.0000 0.0000
Mn 0.2500 0.5000 0.7500
Mn 0.2500 0.7500 0.5000
Mn 0.5000 0.2500 0.7500
Mn 0.5000 0.7500 0.2500
Mn 0.7500 0.2500 0.5000
Mn 0.7500 0.5000 0.2500